For AcCoN4, a PBE-relaxed structure gives the theoretical PXRD pattern in this record (Cu Kα X-rays).
Lines closer than 0.1° are merged.

Most intense lines, 2θ = 5–70°, sorted by position:
2θ 13.96, I 31, (1 0 0); 2θ 19.79, I 45, (1 1 0); 2θ 21.49, I 100, (1 0 1); 2θ 28.12, I 57, (2 0 0); 2θ 35.67, I 85, (2 1 1); 2θ 38.64, I 49, (1 1 2); 2θ 46.02, I 17, (3 0 1); 2θ 54.81, I 27, (3 2 1); 2θ 56.98, I 31, (3 1 2); 2θ 60.48, I 15, (2 1 3)

Atomic structure:
Unit cell a=6.346 b=6.346 c=5.453 alpha=90.00 beta=90.00 gamma=90.00
Space group P-42c (No. 112)
Unique sites:
Ac 0.000 0.500 0.250 x2
Co 0.000 0.000 0.000 x2
N 0.015 0.276 0.863 x8